(1)
This entry pairs a crystal structure of Sc10Pb4C3 with its theoretical PXRD pattern. Radiation: Cu Kα. Structure: a crystal structure in Alexandria, relaxed with PBE.
Peak positions follow from Bragg's law for the DFT cell and can differ from measured ones.

Cell and atoms:
a = 16.9932 Å, b = 16.9932 Å, c = 16.9932 Å
α = 164.64°, β = 164.64°, γ = 21.79°
Fractional positions:
Sc1 0.0000 0.5000 0.5000
Sc2 0.0685 0.0685 0.0000
Sc3 0.1370 0.6370 0.5000
Sc4 0.2058 0.2058 0.0000
Sc5 0.3630 0.8630 0.5000
Sc6 0.5000 0.0000 0.5000
Sc7 0.6370 0.1370 0.5000
Sc8 0.7942 0.7942 0.0000
Sc9 0.8630 0.3630 0.5000
Sc10 0.9315 0.9315 0.0000
Pb1 0.2977 0.2977 0.0000
Pb2 0.4317 0.4317 0.0000
Pb3 0.5683 0.5683 0.0000
Pb4 0.7023 0.7023 0.0000
C1 0.0000 0.0000 0.0000
C2 0.1375 0.1375 0.0000
C3 0.8625 0.8625 0.0000

Most intense lines, 2θ from 10° to 80°, sorted by position:
two_theta  I/Imax
19.72  47
21.30  25
27.11  68
27.77  49
32.18  28
35.26  100
39.68  56
45.42  35
48.72  29
69.16  28

=====

(2)
This entry pairs a crystal structure of Sc4SnPbC with its theoretical PXRD pattern. Radiation: Cu Kα. Structure: a crystal structure in Alexandria, relaxed with PBE.
Peak positions follow from Bragg's law for the DFT cell and can differ from measured ones.

Cell and atoms:
a = 8.1783 Å, b = 8.1783 Å, c = 6.3384 Å
α = 90.00°, β = 90.00°, γ = 134.39°
Fractional positions:
Sc1 0.0000 0.5000 0.0000
Sc2 0.0000 0.5000 0.5000
Sc3 0.0958 0.9042 0.7500
Sc4 0.4023 0.5977 0.7500
Sc5 0.5000 0.0000 0.0000
Sc6 0.5000 0.0000 0.5000
Sc7 0.5977 0.4023 0.2500
Sc8 0.9042 0.0958 0.2500
Sn1 0.1071 0.8929 0.2500
Sn2 0.8929 0.1071 0.7500
Pb1 0.3958 0.6042 0.2500
Pb2 0.6042 0.3958 0.7500
C1 0.2495 0.7505 0.7500
C2 0.7505 0.2495 0.2500

Most intense lines, 2θ from 10° to 80°, sorted by position:
two_theta  I/Imax
20.67  40
23.60  26
26.65  61
28.16  62
30.60  32
37.06  100
40.24  56
48.92  25
54.89  26
71.05  29